Simulated powder X-ray diffraction pattern
Compound: RhW2F
Radiation: Cu Kα, 1.54184 Å
Structure: a crystal structure in Alexandria, relaxed with PBE+U

Principal peaks in the range 2θ = 5–70°, by angle:
| (hkl) | Position (°2θ) | intensity |
| --- | --- | --- |
| 1 1 1 | 25.0 | 8 |
| 2 0 0 | 28.9 | 30 |
| 2 2 0 | 41.3 | 100 |
| 3 1 1 | 48.9 | 4 |
| 2 2 2 | 51.2 | 9 |
| 4 0 0 | 59.9 | 17 |
| 3 3 1 | 65.9 | 2 |
| 4 2 0 | 67.8 | 12 |

Crystal structure
Cell lengths 6.1779, 6.1779, 6.1779 Å; angles 90.00, 90.00, 90.00 degrees
Sites, in units of the cell vectors:
Rh: 0.0000 0.0000 0.0000
Rh: 0.0000 0.5000 0.5000
Rh: 0.5000 0.0000 0.5000
Rh: 0.5000 0.5000 0.0000
W: 0.2500 0.2500 0.2500
W: 0.2500 0.2500 0.7500
W: 0.2500 0.7500 0.2500
W: 0.2500 0.7500 0.7500
W: 0.7500 0.2500 0.2500
W: 0.7500 0.2500 0.7500
W: 0.7500 0.7500 0.2500
W: 0.7500 0.7500 0.7500
F: 0.0000 0.0000 0.5000
F: 0.0000 0.5000 0.0000
F: 0.5000 0.0000 0.0000
F: 0.5000 0.5000 0.5000